Simulated powder XRD pattern
Compound: Na3Li4ThF12
Radiation: Cu Kα (λ = 1.5418 Å)
Structure: a structure optimized by DFT (GGA-PBE)

Atomic structure:
```
data_Na3Li4ThF12
_chemical_formula_sum 'Na3 Li4 Th1 F12'
_cell_length_a 7.0910
_cell_length_b 7.0910
_cell_length_c 7.0910
_cell_angle_alpha 105.13
_cell_angle_beta 105.13
_cell_angle_gamma 105.13
_space_group_name_H-M_alt 'P 1'
_space_group_IT_number 1
_space_group_name_Hall 'P 1'
loop_
_atom_site_label
_atom_site_type_symbol
_atom_site_fract_x
_atom_site_fract_y
_atom_site_fract_z
Na1 Na 0.0000 0.5732 0.4268
Na2 Na 0.4268 0.0000 0.5732
Na3 Na 0.5732 0.4268 0.0000
Li1 Li 0.0678 0.5000 0.9322
Li2 Li 0.5000 0.5000 0.5000
Li3 Li 0.5000 0.9322 0.0678
Li4 Li 0.9322 0.0678 0.5000
Th1 Th 0.0000 0.0000 0.0000
F1 F 0.0271 0.7006 0.8093
F2 F 0.0861 0.9139 0.5000
F3 F 0.1907 0.2994 0.9729
F4 F 0.2994 0.9729 0.1907
F5 F 0.3430 0.6570 0.5000
F6 F 0.5000 0.0861 0.9139
F7 F 0.5000 0.3430 0.6570
F8 F 0.6570 0.5000 0.3430
F9 F 0.7006 0.8093 0.0271
F10 F 0.8093 0.0271 0.7006
F11 F 0.9139 0.5000 0.0861
F12 F 0.9729 0.1907 0.2994
```

The 8 most intense peaks (2θ = 15–90°), low angle first:
2theta, Rel. int.
15.7, 100
21.0, 66
22.8, 41
26.4, 56
27.9, 59
32.2, 42
34.8, 44
45.4, 29

Simulated powder XRD pattern
Compound: H3Pd5
Radiation: Cu Kα (λ = 1.5418 Å)
Structure: a structure optimized by DFT (GGA-PBE)

Atomic structure:
```
data_H3Pd5
_chemical_formula_sum 'H6 Pd10'
_cell_length_a 6.5098
_cell_length_b 6.5098
_cell_length_c 6.5098
_cell_angle_alpha 99.64
_cell_angle_beta 99.64
_cell_angle_gamma 131.69
_space_group_name_H-M_alt 'P 1'
_space_group_IT_number 1
_space_group_name_Hall 'P 1'
loop_
_atom_site_label
_atom_site_type_symbol
_atom_site_fract_x
_atom_site_fract_y
_atom_site_fract_z
H1 H 0.1146 0.6146 0.7291
H2 H 0.2500 0.2500 0.0000
H3 H 0.3854 0.1146 0.5000
H4 H 0.6146 0.8854 0.5000
H5 H 0.7500 0.7500 0.0000
H6 H 0.8854 0.3854 0.2709
Pd1 Pd 0.0498 0.2158 0.2656
Pd2 Pd 0.2158 0.9502 0.1660
Pd3 Pd 0.2500 0.7500 0.5000
Pd4 Pd 0.2842 0.4502 0.7344
Pd5 Pd 0.4502 0.7158 0.1660
Pd6 Pd 0.5498 0.2842 0.8340
Pd7 Pd 0.7158 0.5498 0.2656
Pd8 Pd 0.7500 0.2500 0.5000
Pd9 Pd 0.7842 0.0498 0.8340
Pd10 Pd 0.9502 0.7842 0.7344
```

The 8 most intense peaks (2θ = 15–90°), low angle first:
2theta, Rel. int.
29.1, 29
30.1, 32
33.6, 29
33.7, 45
37.0, 32
42.3, 36
45.8, 100
47.8, 51

Simulated powder XRD pattern
Compound: AcPuPd2O8
Radiation: Cu Kα (λ = 1.5418 Å)
Structure: a structure optimized by DFT (GGA-PBE)

Atomic structure:
```
data_AcPuPd2O8
_chemical_formula_sum 'Ac1 Pu1 Pd2 O8'
_cell_length_a 6.2140
_cell_length_b 6.2140
_cell_length_c 6.2140
_cell_angle_alpha 109.56
_cell_angle_beta 109.56
_cell_angle_gamma 109.30
_space_group_name_H-M_alt 'P 1'
_space_group_IT_number 1
_space_group_name_Hall 'P 1'
loop_
_atom_site_label
_atom_site_type_symbol
_atom_site_fract_x
_atom_site_fract_y
_atom_site_fract_z
Ac1 Ac 0.0000 0.0000 0.0000
Pu1 Pu 0.2500 0.7500 0.5000
Pd1 Pd 0.5000 0.5000 0.0000
Pd2 Pd 0.7500 0.2500 0.5000
O1 O 0.3026 0.0814 0.7788
O2 O 0.3026 0.5238 0.2212
O3 O 0.3754 0.0388 0.3366
O4 O 0.4762 0.6974 0.7788
O5 O 0.7022 0.0388 0.6634
O6 O 0.9186 0.6974 0.2212
O7 O 0.9612 0.2978 0.3366
O8 O 0.9612 0.6246 0.6634
```

The 8 most intense peaks (2θ = 15–90°), low angle first:
2theta, Rel. int.
17.5, 28
24.8, 94
30.5, 100
35.4, 27
47.4, 75
57.3, 19
60.6, 20
72.2, 17

Simulated powder XRD pattern
Compound: Na2Hg2F7
Radiation: Cu Kα (λ = 1.5418 Å)
Structure: a structure optimized by DFT (GGA-PBE)

Atomic structure:
```
data_Na2Hg2F7
_chemical_formula_sum 'Na2 Hg2 F7'
_cell_length_a 5.5778
_cell_length_b 5.5778
_cell_length_c 5.6311
_cell_angle_alpha 90.00
_cell_angle_beta 90.00
_cell_angle_gamma 94.88
_space_group_name_H-M_alt 'P 1'
_space_group_IT_number 1
_space_group_name_Hall 'P 1'
loop_
_atom_site_label
_atom_site_type_symbol
_atom_site_fract_x
_atom_site_fract_y
_atom_site_fract_z
Na1 Na 0.2284 0.2284 0.0000
Na2 Na 0.7716 0.7716 0.0000
Hg1 Hg 0.2285 0.7715 0.5000
Hg2 Hg 0.7715 0.2285 0.5000
F1 F 0.0000 0.0000 0.2571
F2 F 0.0000 0.0000 0.7429
F3 F 0.0000 0.5000 0.2488
F4 F 0.0000 0.5000 0.7512
F5 F 0.5000 0.0000 0.2488
F6 F 0.5000 0.0000 0.7512
F7 F 0.5000 0.5000 0.5000
```

The 8 most intense peaks (2θ = 15–90°), low angle first:
2theta, Rel. int.
15.7, 100
21.6, 45
23.6, 31
26.9, 72
28.5, 81
36.0, 40
40.0, 25
45.9, 56